Theoretical X-ray powder pattern
Compound: PuCd11
Radiation: Cu Kα
Structure: DFT lattice parameters and positions (GGA-PBE)
Neutral-atom scattering factors, no anomalous dispersion.

Crystal structure
a = 9.329 Å, b = 9.329 Å, c = 9.329 Å
α = 100.00°, β = 100.00°, γ = 130.74°
Element x y z (fractional)
Pu (0.375, 0.625, 0.750)
Pu (0.625, 0.375, 0.250)
Cd (0.000, 0.000, 0.000)
Cd (0.000, 0.000, 0.500)
Cd (0.000, 0.500, 0.000)
Cd (0.122, 0.550, 0.332)
Cd (0.122, 0.790, 0.572)
Cd (0.125, 0.875, 0.250)
Cd (0.210, 0.282, 0.332)
Cd (0.210, 0.878, 0.928)
Cd (0.282, 0.210, 0.832)
Cd (0.282, 0.450, 0.072)
Cd (0.450, 0.282, 0.572)
Cd (0.450, 0.878, 0.168)
Cd (0.500, 0.000, 0.500)
Cd (0.550, 0.122, 0.832)
Cd (0.550, 0.718, 0.428)
Cd (0.718, 0.550, 0.928)
Cd (0.718, 0.790, 0.168)
Cd (0.790, 0.122, 0.072)
Cd (0.790, 0.718, 0.668)
Cd (0.875, 0.125, 0.750)
Cd (0.878, 0.210, 0.428)
Cd (0.878, 0.450, 0.668)

Main lines, by intensity (10° ≤ 2θ ≤ 90°):
2θ = 33.00°, I 100.0
2θ = 33.42°, I 62.5
2θ = 39.31°, I 50.7
2θ = 29.20°, I 36.9
2θ = 59.46°, I 32.4
2θ = 35.43°, I 29.1
2θ = 40.88°, I 24.0
2θ = 50.15°, I 16.0